For NaInPb2F8, DFT lattice parameters and positions (PBE) gives the theoretical powder XRD pattern in this record (Cu Ka).
Lines closer than 0.1° are merged.

Main lines, sorted by position (2θ = 10–90°):
- d = 5.744 Å, intensity 24
- d = 4.222 Å, intensity 14
- d = 3.563 Å, intensity 42
- d = 3.267 Å, intensity 100
- d = 2.895 Å, intensity 26
- d = 2.108 Å, intensity 47
- d = 1.977 Å, intensity 25
- d = 1.818 Å, intensity 12

Structure:
Cell: 4.240 7.954 5.769 Å, 90.00 95.32 90.00°
Space group P2/m (No. 10)
Asymmetric unit:
Na 0.000 0.000 0.000
In 0.000 0.500 0.000
Pb 0.500 0.245 0.500
F 0.046 0.287 0.768
F 0.440 0.500 0.213
F 0.451 0.000 0.252

***

For Na2PrInF8, DFT lattice parameters and positions (PBE) gives the theoretical powder XRD pattern in this record (Cu Ka).
Lines closer than 0.1° are merged.

Main lines, sorted by position (2θ = 10–90°):
- d = 5.586 Å, intensity 100
- d = 3.875 Å, intensity 36
- d = 3.852 Å, intensity 36
- d = 3.184 Å, intensity 95
- d = 3.171 Å, intensity 92
- d = 2.454 Å, intensity 36
- d = 1.953 Å, intensity 98
- d = 1.653 Å, intensity 26

Structure:
Cell: 3.875 7.705 5.586 Å, 90.00 90.09 90.00°
Space group P2/m (No. 10)
Asymmetric unit:
Na 0.000 0.233 0.000
Pr 0.500 0.500 0.500
In 0.500 0.000 0.500
F 0.000 0.500 0.254
F 0.001 0.000 0.279
F 0.499 0.234 0.731

***

For Na2PuInF8, DFT lattice parameters and positions (PBE) gives the theoretical powder XRD pattern in this record (Cu Ka).
Lines closer than 0.1° are merged.

Main lines, sorted by position (2θ = 10–90°):
- d = 5.582 Å, intensity 61
- d = 3.858 Å, intensity 23
- d = 3.839 Å, intensity 23
- d = 3.168 Å, intensity 100
- d = 2.446 Å, intensity 25
- d = 2.259 Å, intensity 23
- d = 1.948 Å, intensity 46
- d = 1.675 Å, intensity 16

Structure:
Cell: 3.839 5.582 7.715 Å, 90.00 90.00 90.00°
Space group Pmmm (No. 47)
Asymmetric unit:
Na 0.000 0.000 0.234
Pu 0.500 0.500 0.500
In 0.500 0.500 0.000
F 0.000 0.254 0.500
F 0.000 0.278 0.000
F 0.500 0.270 0.236

***

For RbNaInF3, DFT lattice parameters and positions (PBE) gives the theoretical powder XRD pattern in this record (Cu Ka).
Lines closer than 0.1° are merged.

Main lines, sorted by position (2θ = 10–90°):
- d = 3.691 Å, intensity 100
- d = 3.604 Å, intensity 81
- d = 3.435 Å, intensity 83
- d = 3.411 Å, intensity 96
- d = 3.029 Å, intensity 63
- d = 2.827 Å, intensity 81
- d = 2.645 Å, intensity 77
- d = 2.470 Å, intensity 98

Structure:
Cell: 15.167 4.940 7.304 Å, 90.00 109.04 90.00°
Space group C2/m (No. 12)
Asymmetric unit:
Rb 0.145 0.000 0.479
Na 0.200 0.000 0.055
In 0.054 0.500 0.779
F 0.078 0.000 0.789
F 0.179 0.500 0.060
F 0.189 0.500 0.656